Structure and calculated powder diffractogram of Sm2SO2 (DFT lattice parameters and positions (PBE); a wavelength of 1.5418 Å).
Intensities are scaled so that the largest is 100.

The 10 most intense peaks (15° ≤ 2θ ≤ 90°), in order of rising 2θ:
| 2theta | d_spacing | I (rel.) |
| --- | --- | --- |
| 26.25 | 3.395 | 20 |
| 26.36 | 3.382 | 22 |
| 29.44 | 3.034 | 100 |
| 37.54 | 2.396 | 30 |
| 46.32 | 1.960 | 32 |
| 48.47 | 1.878 | 25 |
| 54.07 | 1.696 | 22 |
| 55.84 | 1.646 | 17 |
| 75.40 | 1.261 | 14 |
| 87.47 | 1.115 | 9 |

Structure:
```
5
Lattice="3.920 0.000 0.000 -1.960 3.395 0.000 0.000 0.000 6.763" Properties=species:S:1:pos:R:3 pbc="T T T"
Sm 0.000 2.263 1.901
Sm 1.960 1.132 4.862
S 0.000 0.000 0.000
O 0.000 2.263 4.257
O 1.960 1.132 2.506
```

Structure and calculated powder diffractogram of Sm2S3O12 (DFT lattice parameters and positions (PBE); a wavelength of 1.5418 Å).
Intensities are scaled so that the largest is 100.

The 10 most intense peaks (15° ≤ 2θ ≤ 90°), in order of rising 2θ:
| 2theta | d_spacing | I (rel.) |
| --- | --- | --- |
| 17.30 | 5.126 | 100 |
| 20.19 | 4.398 | 95 |
| 25.68 | 3.469 | 71 |
| 29.85 | 2.993 | 68 |
| 29.96 | 2.982 | 43 |
| 30.70 | 2.913 | 37 |
| 31.56 | 2.835 | 37 |
| 32.42 | 2.762 | 51 |
| 37.21 | 2.416 | 34 |
| 47.86 | 1.901 | 40 |

Structure:
```
34
Lattice="10.731 -3.354 0.000 10.731 3.354 0.000 -2.051 0.000 6.631" Properties=species:S:1:pos:R:3 pbc="T T T"
Sm 6.113 2.374 5.763
Sm 12.271 2.374 4.184
Sm 7.139 -2.374 2.448
Sm 13.297 -2.374 0.868
S 6.137 1.224 2.138
S 9.192 2.254 4.973
S 5.112 -1.224 5.454
S 14.298 1.224 1.177
S 10.218 -2.254 1.658
S 13.273 -1.224 4.493
O 5.889 2.047 3.357
O 0.472 0.220 2.376
O 7.071 2.090 1.316
O -0.553 -0.220 5.691
O 4.907 0.981 1.387
O 8.379 1.446 5.902
O 10.005 1.446 4.045
O 13.365 2.090 2.000
O 5.782 0.038 5.805
O 6.808 -0.038 2.489
O 12.495 2.047 6.589
O 3.881 -0.981 4.703
O 15.529 0.981 1.928
O 6.915 -2.047 0.042
O 12.602 0.038 4.142
O 13.628 -0.038 0.827
O 6.045 -2.090 4.632
O 9.405 -1.446 2.587
O 11.031 -1.446 0.729
O 14.504 -0.981 5.244
O 19.963 0.220 0.940
O 12.339 -2.090 5.315
O 18.938 -0.220 4.256
O 13.521 -2.047 3.274
```